(1)
Structure and simulated XRD peak list of K2MgAs (the PBE geometry in Alexandria; Cu Kα (λ = 1.5418 Å)).
Neutral-atom scattering factors, no anomalous dispersion.

a = 3.894 Å, b = 3.894 Å, c = 10.066 Å
α = 90.00°, β = 90.00°, γ = 90.00°
Element x y z (fractional)
K1 0.000 0.000 0.000
K2 0.500 0.500 0.395
Mg1 0.000 0.000 0.684
As1 0.500 0.500 0.729

Most intense lines, 2θ = 10–90°, low angle first:
Position (°2θ)  d [Å]  I (rel.)
24.51  3.631  77
26.56  3.355  66
28.99  3.080  74
32.52  2.753  100
35.31  2.542  48
42.47  2.128  70

=====

(2)
Structure and simulated XRD peak list of KMg4As3O12 (the PBE geometry in Alexandria; Cu Kα (λ = 1.5418 Å)).
Neutral-atom scattering factors, no anomalous dispersion.

a = 6.597 Å, b = 6.597 Å, c = 6.597 Å
α = 109.47°, β = 109.47°, γ = 109.47°
Element x y z (fractional)
K1 0.000 0.000 0.000
Mg1 0.000 0.000 0.500
Mg2 0.000 0.500 0.000
Mg3 0.500 0.000 0.000
Mg4 0.500 0.500 0.500
As1 0.000 0.500 0.500
As2 0.500 0.000 0.500
As3 0.500 0.500 0.000
O1 0.165 0.333 0.499
O2 0.165 0.667 0.832
O3 0.168 0.835 0.333
O4 0.333 0.168 0.835
O5 0.333 0.499 0.165
O6 0.499 0.165 0.333
O7 0.501 0.835 0.667
O8 0.667 0.501 0.835
O9 0.667 0.832 0.165
O10 0.832 0.165 0.667
O11 0.835 0.333 0.168
O12 0.835 0.667 0.501

Most intense lines, 2θ = 10–90°, low angle first:
Position (°2θ)  d [Å]  I (rel.)
23.36  3.809  34
33.27  2.693  100
41.05  2.199  16
47.76  1.904  23
59.44  1.555  58
79.59  1.204  20

=====

(3)
Structure and simulated XRD peak list of K2MgZnAs2 (the PBE geometry in Alexandria; Cu Kα (λ = 1.5418 Å)).
Neutral-atom scattering factors, no anomalous dispersion.

a = 9.058 Å, b = 9.058 Å, c = 9.058 Å
α = 139.37°, β = 59.08°, γ = 139.01°
Element x y z (fractional)
K1 0.175 0.243 0.418
K2 0.325 0.743 0.068
K3 0.675 0.257 0.932
K4 0.825 0.757 0.582
Mg1 0.250 0.750 0.500
Mg2 0.750 0.250 0.500
Zn1 0.250 0.250 0.000
Zn2 0.750 0.750 0.000
As1 0.095 0.759 0.854
As2 0.405 0.259 0.664
As3 0.595 0.741 0.336
As4 0.905 0.241 0.146

Most intense lines, 2θ = 10–90°, low angle first:
Position (°2θ)  d [Å]  I (rel.)
11.23  7.881  84
22.89  3.886  34
30.25  2.955  100
36.36  2.471  49
36.56  2.458  48
40.39  2.233  72

=====

(4)
Structure and simulated XRD peak list of KMn6As4 (the PBE geometry in Alexandria; Cu Kα (λ = 1.5418 Å)).
Neutral-atom scattering factors, no anomalous dispersion.

a = 13.025 Å, b = 13.025 Å, c = 13.025 Å
α = 162.73°, β = 162.73°, γ = 24.51°
Element x y z (fractional)
K1 0.000 0.000 0.000
Mn1 0.137 0.637 0.500
Mn2 0.250 0.750 0.500
Mn3 0.363 0.863 0.500
Mn4 0.637 0.137 0.500
Mn5 0.750 0.250 0.500
Mn6 0.863 0.363 0.500
As1 0.192 0.192 0.000
As2 0.419 0.419 0.000
As3 0.581 0.581 0.000
As4 0.808 0.808 0.000

Most intense lines, 2θ = 10–90°, low angle first:
Position (°2θ)  d [Å]  I (rel.)
28.79  3.101  100
43.35  2.087  77
46.45  1.955  59
48.62  1.873  55
55.57  1.654  30
83.96  1.153  21